Entry 1:
Simulated powder diffractogram of SrSm3Mn4O12 for Cu Kα, 1.54184 Å, from a PBE+U-relaxed structure.
Kinematic intensities with the Lorentz-polarization factor, no thermal factor.

Structure:
```
data_SrSm3Mn4O12
_chemical_formula_sum 'Sr1 Sm3 Mn4 O12'
_symmetry_space_group_name_H-M 'P 1 m 1'
_symmetry_Int_Tables_number 6
_cell_length_a 5.467
_cell_length_b 7.760
_cell_length_c 5.652
_cell_angle_alpha 90.00
_cell_angle_beta 90.30
_cell_angle_gamma 90.00
loop_
_symmetry_equiv_pos_as_xyz
'x,y,z'
'x,-y,z'
loop_
_atom_site_label
_atom_site_fract_x
_atom_site_fract_y
_atom_site_fract_z
_atom_site_occupancy
Sr1 0.000 0.000 0.000 1
Sm1 0.022 0.500 0.099 1
Sm2 0.495 0.500 0.595 1
Sm3 0.523 0.000 0.484 1
Mn1 0.005 0.250 0.543 1
Mn2 0.510 0.249 0.039 1
O1 0.101 0.000 0.552 1
O2 0.223 0.304 0.835 1
O3 0.290 0.301 0.338 1
O4 0.444 0.000 0.071 1
O5 0.602 0.500 0.011 1
O6 0.712 0.212 0.730 1
O7 0.791 0.218 0.251 1
O8 0.918 0.500 0.520 1
```

Most intense lines, 2θ = 5–70°, in order of falling intensity:
| 2θ/deg | I (rel.) |
| --- | --- |
| 32.43 | 100.0 |
| 32.76 | 24.4 |
| 58.34 | 22.4 |
| 31.66 | 21.6 |
| 46.83 | 15.3 |
| 46.33 | 12.1 |
| 40.36 | 11.7 |
| 46.08 | 11.6 |
| 58.19 | 10.7 |
| 47.64 | 10.2 |

***

Entry 2:
Simulated powder diffractogram of Sr2SmMnO6 for Cu Kα, 1.54184 Å, from a PBE+U-relaxed structure.
Kinematic intensities with the Lorentz-polarization factor, no thermal factor.

Structure:
```
data_Sr2SmMnO6
_chemical_formula_sum 'Sr8 Sm4 Mn4 O24'
_symmetry_space_group_name_H-M 'F m -3 m'
_symmetry_Int_Tables_number 225
_symmetry_space_group_name_Hall '-F 4 2 3'
_cell_length_a 8.319
_cell_length_b 8.319
_cell_length_c 8.319
_cell_angle_alpha 90.00
_cell_angle_beta 90.00
_cell_angle_gamma 90.00
loop_
_atom_site_label
_atom_site_fract_x
_atom_site_fract_y
_atom_site_fract_z
_atom_site_occupancy
Sr1 0.250 0.250 0.250 1
Sm1 0.000 0.000 0.000 1
Mn1 0.000 0.000 0.500 1
O1 0.000 0.000 0.271 1
```

Most intense lines, 2θ = 5–70°, in order of falling intensity:
| 2θ/deg | I (rel.) |
| --- | --- |
| 30.39 | 100.0 |
| 54.00 | 39.1 |
| 43.51 | 33.4 |
| 63.23 | 20.0 |
| 18.47 | 10.8 |
| 35.80 | 9.9 |
| 47.65 | 6.1 |
| 21.36 | 4.5 |
| 57.57 | 2.9 |
| 66.49 | 2.7 |

***

Entry 3:
Simulated powder diffractogram of Sm2TiMnO6 for Cu Kα, 1.54184 Å, from a PBE+U-relaxed structure.
Kinematic intensities with the Lorentz-polarization factor, no thermal factor.

Structure:
```
data_Sm2TiMnO6
_chemical_formula_sum 'Sm4 Ti2 Mn2 O12'
_symmetry_space_group_name_H-M 'P 1 21/c 1'
_symmetry_Int_Tables_number 14
_cell_length_a 5.469
_cell_length_b 5.783
_cell_length_c 9.580
_cell_angle_alpha 90.00
_cell_angle_beta 124.51
_cell_angle_gamma 90.00
loop_
_symmetry_equiv_pos_as_xyz
'x,y,z'
'-x,-y,-z'
'-x,y+1/2,-z+1/2'
'x,-y+1/2,z+1/2'
loop_
_atom_site_label
_atom_site_fract_x
_atom_site_fract_y
_atom_site_fract_z
_atom_site_occupancy
Sm1 0.230 0.065 0.248 1
Ti1 0.500 0.000 0.000 1
Mn1 0.000 0.000 0.500 1
O1 0.153 0.184 0.946 1
O2 0.256 0.711 0.937 1
O3 0.376 0.044 0.763 1
```

Most intense lines, 2θ = 5–70°, in order of falling intensity:
| 2θ/deg | I (rel.) |
| --- | --- |
| 31.90 | 100.0 |
| 32.02 | 99.4 |
| 32.75 | 47.3 |
| 22.37 | 43.9 |
| 25.09 | 41.6 |
| 30.93 | 36.8 |
| 45.66 | 35.4 |
| 57.81 | 35.2 |
| 22.53 | 30.3 |
| 45.99 | 28.4 |

***

Entry 4:
Simulated powder diffractogram of Mn5SnO8 for Cu Kα, 1.54184 Å, from a PBE+U-relaxed structure.
Kinematic intensities with the Lorentz-polarization factor, no thermal factor.

Structure:
```
data_Mn5SnO8
_chemical_formula_sum 'Mn10 Sn2 O16'
_symmetry_space_group_name_H-M 'I -4 m 2'
_symmetry_Int_Tables_number 119
_symmetry_space_group_name_Hall 'I -4 -2'
_cell_length_a 6.108
_cell_length_b 6.108
_cell_length_c 9.293
_cell_angle_alpha 90.00
_cell_angle_beta 90.00
_cell_angle_gamma 90.00
loop_
_atom_site_label
_atom_site_fract_x
_atom_site_fract_y
_atom_site_fract_z
_atom_site_occupancy
Mn1 0.000 0.000 0.000 1
Mn2 0.000 0.258 0.628 1
Sn1 0.000 0.500 0.250 1
O1 0.000 0.229 0.377 1
O2 0.000 0.272 0.869 1
```

Most intense lines, 2θ = 5–70°, in order of falling intensity:
| 2θ/deg | I (rel.) |
| --- | --- |
| 34.22 | 100.0 |
| 32.41 | 63.8 |
| 28.21 | 48.7 |
| 58.34 | 46.8 |
| 55.11 | 32.3 |
| 29.24 | 22.6 |
| 60.65 | 20.3 |
| 51.39 | 18.9 |
| 51.22 | 18.2 |
| 35.17 | 11.0 |

***

Entry 5:
Simulated powder diffractogram of Mn2SnO4 for Cu Kα, 1.54184 Å, from a PBE+U-relaxed structure.
Kinematic intensities with the Lorentz-polarization factor, no thermal factor.

Structure:
```
data_Mn2SnO4
_chemical_formula_sum 'Mn8 Sn4 O16'
_symmetry_space_group_name_H-M 'I m m a'
_symmetry_Int_Tables_number 74
_symmetry_space_group_name_Hall '-I 2b 2'
_cell_length_a 6.311
_cell_length_b 6.406
_cell_length_c 9.068
_cell_angle_alpha 90.00
_cell_angle_beta 90.00
_cell_angle_gamma 90.00
loop_
_atom_site_label
_atom_site_fract_x
_atom_site_fract_y
_atom_site_fract_z
_atom_site_occupancy
Mn1 0.000 0.250 0.141 1
Mn2 0.250 0.250 0.750 1
Sn1 0.000 0.000 0.500 1
O1 0.000 0.015 0.728 1
O2 0.226 0.250 0.501 1
```

Most intense lines, 2θ = 5–70°, in order of falling intensity:
| 2θ/deg | I (rel.) |
| --- | --- |
| 32.87 | 100.0 |
| 17.12 | 89.0 |
| 32.83 | 68.7 |
| 57.76 | 60.7 |
| 53.05 | 42.8 |
| 40.11 | 40.0 |
| 33.15 | 37.5 |
| 34.28 | 27.8 |
| 52.48 | 23.1 |
| 28.28 | 22.6 |

***

Entry 6:
Simulated powder diffractogram of Mn5SnO8 for Cu Kα, 1.54184 Å, from a PBE+U-relaxed structure.
Kinematic intensities with the Lorentz-polarization factor, no thermal factor.

Structure:
```
data_Mn5SnO8
_chemical_formula_sum 'Mn10 Sn2 O16'
_symmetry_space_group_name_H-M 'P 1'
_symmetry_Int_Tables_number 1
_cell_length_a 6.164
_cell_length_b 6.296
_cell_length_c 10.671
_cell_angle_alpha 87.83
_cell_angle_beta 73.62
_cell_angle_gamma 61.37
loop_
_symmetry_equiv_pos_as_xyz
'x,y,z'
loop_
_atom_site_label
_atom_site_fract_x
_atom_site_fract_y
_atom_site_fract_z
_atom_site_occupancy
Mn1 0.000 0.000 0.000 1
Mn2 0.000 0.239 0.242 1
Mn3 0.000 0.486 0.998 1
Mn4 0.002 0.977 0.500 1
Mn5 0.004 0.732 0.744 1
Mn6 0.009 0.486 0.498 1
Mn7 0.382 0.558 0.185 1
Mn8 0.389 0.043 0.687 1
Mn9 0.483 0.010 0.002 1
Mn10 0.490 0.490 0.500 1
Sn1 0.608 0.926 0.311 1
Sn2 0.609 0.430 0.810 1
O1 0.212 0.628 0.877 1
O2 0.223 0.385 0.111 1
O3 0.225 0.130 0.379 1
O4 0.228 0.849 0.636 1
O5 0.262 0.118 0.889 1
O6 0.266 0.612 0.389 1
O7 0.266 0.893 0.113 1
O8 0.268 0.380 0.617 1
O9 0.731 0.881 0.111 1
O10 0.733 0.105 0.881 1
O11 0.734 0.599 0.383 1
O12 0.737 0.365 0.613 1
O13 0.758 0.107 0.371 1
O14 0.778 0.604 0.869 1
O15 0.781 0.367 0.106 1
O16 0.787 0.830 0.630 1
```

Most intense lines, 2θ = 5–70°, in order of falling intensity:
| 2θ/deg | I (rel.) |
| --- | --- |
| 34.16 | 100.0 |
| 32.62 | 59.1 |
| 34.31 | 47.6 |
| 28.11 | 45.1 |
| 28.41 | 44.8 |
| 58.12 | 42.7 |
| 58.78 | 41.4 |
| 33.89 | 40.4 |
| 32.34 | 31.2 |
| 32.73 | 26.5 |

***

Entry 7:
Simulated powder diffractogram of Mn5SnO8 for Cu Kα, 1.54184 Å, from a PBE+U-relaxed structure.
Kinematic intensities with the Lorentz-polarization factor, no thermal factor.

Structure:
```
data_Mn5SnO8
_chemical_formula_sum 'Mn5 Sn1 O8'
_symmetry_space_group_name_H-M 'P 1'
_symmetry_Int_Tables_number 1
_cell_length_a 6.131
_cell_length_b 6.153
_cell_length_c 6.239
_cell_angle_alpha 118.51
_cell_angle_beta 118.40
_cell_angle_gamma 90.49
loop_
_symmetry_equiv_pos_as_xyz
'x,y,z'
loop_
_atom_site_label
_atom_site_fract_x
_atom_site_fract_y
_atom_site_fract_z
_atom_site_occupancy
Mn1 0.000 0.000 0.000 1
Mn2 0.006 0.486 0.481 1
Mn3 0.378 0.102 0.736 1
Mn4 0.484 0.482 0.472 1
Mn5 0.994 0.484 0.991 1
Sn1 0.607 0.879 0.241 1
O1 0.215 0.749 0.972 1
O2 0.220 0.218 0.988 1
O3 0.261 0.702 0.466 1
O4 0.270 0.259 0.487 1
O5 0.726 0.714 0.474 1
O6 0.739 0.271 0.502 1
O7 0.771 0.761 0.004 1
O8 0.780 0.221 0.006 1
```

Most intense lines, 2θ = 5–70°, in order of falling intensity:
| 2θ/deg | I (rel.) |
| --- | --- |
| 34.02 | 100.0 |
| 32.46 | 88.9 |
| 33.91 | 84.4 |
| 32.89 | 75.8 |
| 34.39 | 74.8 |
| 28.21 | 62.8 |
| 58.35 | 57.2 |
| 51.69 | 32.0 |
| 54.55 | 31.9 |
| 28.02 | 31.2 |

***

Entry 8:
Simulated powder diffractogram of SrMnSnWO6 for Cu Kα, 1.54184 Å, from a PBE+U-relaxed structure.
Kinematic intensities with the Lorentz-polarization factor, no thermal factor.

Structure:
```
data_SrMnSnWO6
_chemical_formula_sum 'Sr4 Mn4 Sn4 W4 O24'
_symmetry_space_group_name_H-M 'F -4 3 m'
_symmetry_Int_Tables_number 216
_symmetry_space_group_name_Hall 'F -4 2 3'
_cell_length_a 8.166
_cell_length_b 8.166
_cell_length_c 8.166
_cell_angle_alpha 90.00
_cell_angle_beta 90.00
_cell_angle_gamma 90.00
loop_
_atom_site_label
_atom_site_fract_x
_atom_site_fract_y
_atom_site_fract_z
_atom_site_occupancy
Sr1 0.000 0.000 0.000 1
Mn1 0.250 0.250 0.750 1
Sn1 0.000 0.000 0.500 1
W1 0.250 0.250 0.250 1
O1 0.012 0.250 0.250 1
```

Most intense lines, 2θ = 5–70°, in order of falling intensity:
| 2θ/deg | I (rel.) |
| --- | --- |
| 30.97 | 100.0 |
| 55.10 | 40.3 |
| 44.37 | 31.5 |
| 18.82 | 23.6 |
| 64.56 | 19.4 |
| 36.49 | 12.2 |
| 58.75 | 5.0 |
| 48.60 | 5.0 |
| 67.90 | 4.9 |
| 21.77 | 3.0 |